PmCo2MoO6: computed X-ray powder pattern (Cu Kα (λ = 1.5418 Å)), based on a GGA+U-relaxed structure.
Neutral-atom scattering factors, no anomalous dispersion.

Largest 6 diffraction maxima, sorted by position, 15 to 90 degrees two-theta:
two_theta, d (Å), intensity, index
31.45, 2.844, 100, 1 0 -1
31.60, 2.832, 92, 0 1 -1
31.99, 2.798, 96, 1 1 2
33.43, 2.681, 90, 1 -1 0
33.55, 2.671, 94, 1 2 1
34.14, 2.626, 86, 2 1 1

Structure:
Lattice parameters (Å, degrees): 5.2532 5.3436 5.6251 62.33 63.21 60.80
Space group P1 (No. 1)
One atom of each set of equivalent atoms:
Pm 0.0000 0.0000 0.0000 x1
Co 0.2090 0.2087 0.3597 x1
Co 0.7313 0.7262 0.7948 x1
Mo 0.5145 0.5344 0.4226 x1
O 0.1140 0.8310 0.5951 x1
O 0.3626 0.5386 0.1472 x1
O 0.4369 0.1041 0.6091 x1
O 0.5395 0.9499 0.1402 x1
O 0.8336 0.4228 0.6089 x1
O 0.9344 0.3699 0.1357 x1